No. 1
MgTe2Mo2WSe2S2: computed X-ray powder pattern (copper Kα), based on a cell relaxed with GGA-PBE.

Crystal structure
```
MgTe2Mo2WSe2S2
1.0
3.3420 0.0000 0.0000
1.6710 2.8943 0.0000
0.0002 0.0001 31.0110
Mg Te Mo W Se S
1 2 2 1 2 2
Cartesian
0.0000 0.0000 0.0000 Mg
1.7614 2.6000 20.2790 Te
1.7613 2.6000 24.0902 Te
1.7615 2.6001 15.0052 Mo
3.4322 1.6351 7.8342 Mo
3.4323 1.6352 22.1859 W
3.4325 1.6353 13.3389 Se
3.4325 1.6353 16.6718 Se
1.7613 2.5999 6.3182 S
1.7613 2.5999 9.3509 S
```

Most intense lines, 10 to 90 degrees two-theta, low angle first:
Position (°2θ), Rel. int.
11.41, 100.0
30.90, 29.0
31.03, 13.5
33.04, 15.9
35.55, 48.8
37.10, 52.0
40.72, 12.2
42.73, 23.5
44.88, 35.1
54.97, 30.6

---

No. 2
BaSn2Bi: computed X-ray powder pattern (copper Kα), based on a cell relaxed with GGA-PBE.

Crystal structure
```
BaSn2Bi
1.0
6.3359 -3.6554 0.0000
6.3359 3.6554 0.0000
-4.2262 0.0000 11.4775
Ba Sn Bi
4 8 4
Cartesian
0.0000 0.0000 0.0000 Ba
-0.0034 0.0000 5.4255 Ba
4.2165 0.0000 2.8430 Ba
4.2104 0.0000 8.2516 Ba
-1.0590 1.7910 11.3088 Sn
2.9880 2.1453 5.5441 Sn
7.5831 1.5128 2.6953 Sn
-1.0590 -1.7910 11.3088 Sn
6.6882 0.0000 5.5429 Sn
2.9880 -2.1453 5.5441 Sn
10.1953 0.0000 2.6614 Sn
7.5831 -1.5128 2.6953 Sn
1.0494 1.8152 8.4395 Bi
-2.0537 0.0000 8.4929 Bi
2.0485 0.0000 11.2834 Bi
1.0494 -1.8152 8.4395 Bi
```

Most intense lines, 10 to 90 degrees two-theta, low angle first:
Position (°2θ), Rel. int.
28.66, 31.3
31.11, 100.0
33.66, 59.2
38.63, 11.3
46.76, 11.1
49.88, 21.8
53.72, 12.9
58.70, 12.4
59.98, 32.7
86.16, 8.9

---

No. 3
Mn2SiRu: computed X-ray powder pattern (copper Kα), based on a cell relaxed with GGA-PBE.

Crystal structure
```
Mn2SiRu
1.0
0.0000 2.8976 2.8976
2.8976 0.0000 2.8976
2.8976 2.8976 0.0000
Mn Si Ru
2 1 1
Cartesian
0.0000 0.0000 0.0000 Mn
1.4488 1.4488 1.4488 Mn
4.3463 4.3463 4.3463 Si
2.8976 2.8976 2.8976 Ru
```

Most intense lines, 10 to 90 degrees two-theta, low angle first:
Position (°2θ), Rel. int.
26.64, 13.4
30.86, 12.9
44.20, 100.0
52.36, 6.3
54.88, 3.4
64.30, 15.4
70.88, 2.6
73.01, 4.1
81.34, 30.7
87.46, 2.0

---

No. 4
Sm2InPd2: computed X-ray powder pattern (copper Kα), based on a cell relaxed with GGA-PBE.

Crystal structure
```
Sm2InPd2
1.0
7.8178 0.0000 0.0000
0.0000 7.8178 0.0000
0.0000 0.0000 3.8360
Sm In Pd
4 2 4
Cartesian
1.3688 2.5401 0.0000 Sm
2.5401 6.4490 0.0000 Sm
5.2777 1.3688 0.0000 Sm
6.4490 5.2777 0.0000 Sm
0.0000 0.0000 1.9180 In
3.9089 3.9089 1.9180 In
0.9928 4.9017 1.9180 Pd
2.9161 0.9928 1.9180 Pd
4.9017 6.8251 1.9180 Pd
6.8251 2.9161 1.9180 Pd
```

Most intense lines, 10 to 90 degrees two-theta, low angle first:
Position (°2θ), Rel. int.
32.39, 10.7
32.71, 35.4
34.72, 100.0
36.34, 42.1
47.40, 15.1
47.98, 8.9
53.94, 14.2
61.16, 18.1
65.57, 10.9
69.19, 10.6

---

No. 5
Bi3Au: computed X-ray powder pattern (copper Kα), based on a cell relaxed with GGA-PBE.

Crystal structure
```
Bi3Au
1.0
-2.3767 2.3767 5.0217
2.3767 -2.3767 5.0217
2.3767 2.3767 -5.0217
Bi Au
3 1
Cartesian
0.0000 0.0000 0.0000 Bi
2.3767 0.0000 2.5109 Bi
0.0000 2.3767 2.5109 Bi
0.0000 0.0000 5.0217 Au
```

Most intense lines, 10 to 90 degrees two-theta, low angle first:
Position (°2θ), Rel. int.
32.04, 100.0
35.76, 18.8
37.85, 32.3
53.06, 24.9
54.61, 11.4
61.93, 15.8
64.73, 27.8
67.01, 12.6
87.15, 13.2
87.97, 6.5

---

No. 6
K2Ag2GeSe4: computed X-ray powder pattern (copper Kα), based on a cell relaxed with GGA-PBE.

Crystal structure
```
K2Ag2GeSe4
1.0
0.0000 7.0864 11.0791
3.3571 0.0000 11.0791
3.3571 7.0864 0.0000
K Ag Ge Se
4 4 2 8
Cartesian
2.5178 5.3148 1.3505 K
4.1963 8.8580 6.8901 K
2.5178 5.3148 15.2682 K
4.1963 8.8580 20.8077 K
2.5178 5.3148 6.6571 Ag
2.5178 5.3148 9.9616 Ag
4.1963 8.8580 12.1967 Ag
4.1963 8.8580 15.5012 Ag
0.8393 1.7716 2.7698 Ge
5.8749 12.4012 19.3885 Ge
2.1621 3.2657 4.1341 Se
4.5521 6.8089 9.6737 Se
2.8735 7.3639 4.1341 Se
2.8735 3.2657 12.4846 Se
3.8406 10.9072 9.6737 Se
3.8406 6.8089 18.0241 Se
2.1621 7.3639 12.4846 Se
4.5521 10.9072 18.0241 Se
```

Most intense lines, 10 to 90 degrees two-theta, low angle first:
Position (°2θ), Rel. int.
14.84, 72.1
18.93, 26.2
26.03, 43.9
29.44, 34.6
30.70, 100.0
31.89, 20.5
32.32, 33.7
37.80, 32.6
40.08, 21.5
47.04, 30.6